This entry pairs a crystal structure of MgMnCo5O12 with its simulated X-ray powder pattern. Radiation: λ = 1.5418 Å (Cu Kα). Structure: the PBE+U geometry in the Materials Project.
Peak positions follow from Bragg's law for the DFT cell and can differ from measured ones.

```
data_MgMnCo5O12
_symmetry_space_group_name_H-M 'P 1'
_symmetry_Int_Tables_number 1
_cell_length_a 4.9273
_cell_length_b 4.9361
_cell_length_c 9.9781
_cell_angle_alpha 82.83
_cell_angle_beta 85.64
_cell_angle_gamma 60.55
loop_
_symmetry_equiv_pos_as_xyz
'x,y,z'
loop_
_atom_site_label
_atom_site_type_symbol
_atom_site_fract_x
_atom_site_fract_y
_atom_site_fract_z
Mg1 Mg 0.0000 0.0000 0.0000
Mn1 Mn 0.3474 0.3919 0.7507
Co1 Co 0.0039 0.5928 0.2504
Co2 Co 0.0147 0.0618 0.7385
Co3 Co 0.3334 0.9249 0.2503
Co4 Co 0.6677 0.2585 0.2558
Co5 Co 0.6806 0.7256 0.7511
O1 O 0.0065 0.2723 0.1486
O2 O 0.0075 0.7162 0.8508
O3 O 0.0109 0.4294 0.6517
O4 O 0.0292 0.8721 0.3497
O5 O 0.3052 0.6521 0.1400
O6 O 0.3219 0.2415 0.3432
O7 O 0.3326 0.0323 0.8511
O8 O 0.3642 0.7418 0.6521
O9 O 0.6612 0.5796 0.3426
O10 O 0.6760 0.0767 0.6517
O11 O 0.6833 0.9501 0.1495
O12 O 0.6931 0.3554 0.8512
```

Top 12 peaks for 2θ = 15–90°, sorted by position:
(0 0 2), 17.9°, d = 4.949 Å, I 100
(1 2 0), 36.7°, d = 2.449 Å, I 8
(-1 1 1), 36.9°, d = 2.437 Å, I 8
(2 1 1), 37.0°, d = 2.428 Å, I 8
(1 -1 1), 37.8°, d = 2.381 Å, I 7
(1 2 2), 39.0°, d = 2.312 Å, I 8
(1 2 -2), 43.2°, d = 2.094 Å, I 10
(2 1 3), 44.2°, d = 2.047 Å, I 7
(1 -1 3), 46.8°, d = 1.939 Å, I 8
(2 1 -3), 47.8°, d = 1.901 Å, I 8
(1 2 4), 49.0°, d = 1.860 Å, I 8
(3 0 0), 65.2°, d = 1.431 Å, I 9

---

This entry pairs a crystal structure of NaAl6Fe3Si6B3O31 with its simulated X-ray powder pattern. Radiation: λ = 1.5418 Å (Cu Kα). Structure: the PBE+U geometry in the Materials Project.
Peak positions follow from Bragg's law for the DFT cell and can differ from measured ones.

```
data_NaAl6Fe3Si6B3O31
_symmetry_space_group_name_H-M 'R 3 m'
_symmetry_Int_Tables_number 160
_symmetry_space_group_name_Hall 'R 3 -2"'
_cell_length_a 16.0150
_cell_length_b 16.0150
_cell_length_c 7.3186
_cell_angle_alpha 90.00
_cell_angle_beta 90.00
_cell_angle_gamma 120.00
loop_
_atom_site_label
_atom_site_type_symbol
_atom_site_fract_x
_atom_site_fract_y
_atom_site_fract_z
Na1 Na 0.0000 0.0000 0.0000
Al1 Al 0.0755 0.3685 0.0538
Fe1 Fe 0.1295 0.0647 0.4112
Si1 Si 0.1419 0.4745 0.4482
B1 B 0.1113 0.2226 0.2345
O1 O 0.0000 0.0000 0.5366
O2 O 0.0011 0.2870 0.8586
O3 O 0.0609 0.2713 0.2229
O4 O 0.0617 0.1235 0.2630
O5 O 0.0933 0.1866 0.8569
O6 O 0.1435 0.4725 0.2256
O7 O 0.1838 0.0919 0.8635
O8 O 0.2027 0.4055 0.9765
```

Top 12 peaks for 2θ = 15–90°, sorted by position:
(2 1 1), 20.8°, d = 4.262 Å, I 54
(2 2 0), 22.2°, d = 4.004 Å, I 57
(0 1 2), 25.2°, d = 3.538 Å, I 61
(1 2 2), 29.8°, d = 3.001 Å, I 62
(0 5 1), 34.6°, d = 2.594 Å, I 100
(1 5 2), 44.0°, d = 2.059 Å, I 46
(3 4 2), 47.0°, d = 1.935 Å, I 22
(0 6 3), 54.7°, d = 1.678 Å, I 22
(5 5 0), 57.6°, d = 1.601 Å, I 21
(0 5 4), 60.6°, d = 1.527 Å, I 19
(5 1 4), 63.0°, d = 1.475 Å, I 16
(6 5 1), 65.4°, d = 1.426 Å, I 19